# 1
Structure and computed PXRD pattern of MnSi5Ru6 (DFT lattice parameters and positions (PBE); Cu Ka).

Unit cell a=6.5940 b=6.5940 c=5.8953 alpha=90.00 beta=90.00 gamma=143.21
Fractional positions:
1 Mn 0.0000 0.0000 0.0000
2 Si 0.0000 0.0000 0.5000
3 Si 0.3327 0.6673 0.5000
4 Si 0.3382 0.6618 0.0000
5 Si 0.6618 0.3382 0.0000
6 Si 0.6673 0.3327 0.5000
7 Ru 0.1693 0.8307 0.2529
8 Ru 0.1693 0.8307 0.7471
9 Ru 0.5000 0.5000 0.2582
10 Ru 0.5000 0.5000 0.7418
11 Ru 0.8307 0.1693 0.2529
12 Ru 0.8307 0.1693 0.7471

Largest 6 diffraction maxima, in order of falling intensity, 2θ = 10–90°:
| 2θ/deg | intensity |
| --- | --- |
| 43.42 | 100.0 |
| 30.33 | 43.0 |
| 79.67 | 25.6 |
| 43.49 | 20.0 |
| 63.10 | 19.1 |
| 79.79 | 12.9 |


# 2
Structure and computed PXRD pattern of YMnSi2Ru (DFT lattice parameters and positions (PBE); Cu Ka).

Unit cell a=3.9937 b=3.9937 c=10.2610 alpha=90.00 beta=90.00 gamma=90.00
Fractional positions:
1 Y 0.0000 0.0000 0.0000
2 Y 0.5000 0.5000 0.5000
3 Mn 0.0000 0.5000 0.2500
4 Mn 0.5000 0.0000 0.7500
5 Si 0.0000 0.0000 0.3800
6 Si 0.0000 0.0000 0.6200
7 Si 0.5000 0.5000 0.1200
8 Si 0.5000 0.5000 0.8800
9 Ru 0.0000 0.5000 0.7500
10 Ru 0.5000 0.0000 0.2500

Largest 6 diffraction maxima, in order of falling intensity, 2θ = 10–90°:
| 2θ/deg | intensity |
| --- | --- |
| 36.31 | 100.0 |
| 45.42 | 38.0 |
| 34.53 | 32.9 |
| 23.91 | 20.8 |
| 77.90 | 19.8 |
| 63.61 | 16.3 |


# 3
Structure and computed PXRD pattern of SrMn4Ru (DFT lattice parameters and positions (PBE); Cu Ka).

Unit cell a=5.0048 b=5.0048 c=5.0048 alpha=60.00 beta=60.00 gamma=60.00
Fractional positions:
1 Sr 0.0000 0.0000 0.0000
2 Mn 0.1253 0.6249 0.6249
3 Mn 0.6249 0.1253 0.6249
4 Mn 0.6249 0.6249 0.1253
5 Mn 0.6249 0.6249 0.6249
6 Ru 0.2500 0.2500 0.2500

Largest 6 diffraction maxima, in order of falling intensity, 2θ = 10–90°:
| 2θ/deg | intensity |
| --- | --- |
| 42.35 | 100.0 |
| 35.89 | 48.3 |
| 68.94 | 29.1 |
| 44.33 | 23.5 |
| 76.07 | 22.6 |
| 64.50 | 17.0 |


# 4
Structure and computed PXRD pattern of Ta3MnRu4 (DFT lattice parameters and positions (PBE); Cu Ka).

Unit cell a=3.2658 b=4.3681 c=8.7251 alpha=90.00 beta=90.00 gamma=90.00
Fractional positions:
1 Ta 0.0000 0.0000 0.0000
2 Ta 0.0000 0.5000 0.2630
3 Ta 0.0000 0.5000 0.7370
4 Mn 0.0000 0.0000 0.5000
5 Ru 0.5000 0.0000 0.2463
6 Ru 0.5000 0.0000 0.7537
7 Ru 0.5000 0.5000 0.0000
8 Ru 0.5000 0.5000 0.5000

Largest 6 diffraction maxima, in order of falling intensity, 2θ = 10–90°:
| 2θ/deg | intensity |
| --- | --- |
| 40.20 | 100.0 |
| 41.37 | 45.7 |
| 74.64 | 30.6 |
| 72.26 | 17.3 |
| 59.93 | 14.9 |
| 86.84 | 10.7 |


# 5
Structure and computed PXRD pattern of Tb2MnRu2 (DFT lattice parameters and positions (PBE); Cu Ka).

Unit cell a=4.0979 b=5.6837 c=8.6106 alpha=90.00 beta=90.00 gamma=90.00
Fractional positions:
1 Tb 0.0000 0.0000 0.2057
2 Tb 0.0000 0.0000 0.7943
3 Tb 0.5000 0.5000 0.2943
4 Tb 0.5000 0.5000 0.7057
5 Mn 0.0000 0.5000 0.0000
6 Mn 0.5000 0.0000 0.5000
7 Ru 0.0000 0.2674 0.5000
8 Ru 0.0000 0.7326 0.5000
9 Ru 0.5000 0.2326 0.0000
10 Ru 0.5000 0.7674 0.0000

Largest 6 diffraction maxima, in order of falling intensity, 2θ = 10–90°:
| 2θ/deg | intensity |
| --- | --- |
| 34.08 | 100.0 |
| 40.00 | 63.2 |
| 37.94 | 53.0 |
| 38.29 | 44.7 |
| 26.82 | 42.8 |
| 67.59 | 35.7 |


# 6
Structure and computed PXRD pattern of Ti5MnRu4 (DFT lattice parameters and positions (PBE); Cu Ka).

Unit cell a=3.0600 b=3.0600 c=15.3386 alpha=90.00 beta=90.00 gamma=90.00
Fractional positions:
1 Ti 0.0000 0.0000 0.0000
2 Ti 0.0000 0.0000 0.2035
3 Ti 0.0000 0.0000 0.4060
4 Ti 0.0000 0.0000 0.5940
5 Ti 0.0000 0.0000 0.7965
6 Mn 0.5000 0.5000 0.5000
7 Ru 0.5000 0.5000 0.1006
8 Ru 0.5000 0.5000 0.3016
9 Ru 0.5000 0.5000 0.6984
10 Ru 0.5000 0.5000 0.8994

Largest 6 diffraction maxima, in order of falling intensity, 2θ = 10–90°:
| 2θ/deg | intensity |
| --- | --- |
| 41.71 | 100.0 |
| 76.17 | 20.5 |
| 29.16 | 14.6 |
| 60.51 | 10.5 |
| 76.06 | 10.1 |
| 60.34 | 5.2 |


# 7
Structure and computed PXRD pattern of MnV6Ru (DFT lattice parameters and positions (PBE); Cu Ka).

Unit cell a=4.1771 b=5.9395 c=8.3809 alpha=90.00 beta=90.00 gamma=90.00
Fractional positions:
1 Mn 0.0000 0.0000 0.0000
2 Mn 0.0000 0.5000 0.5000
3 V 0.0000 0.0000 0.4943
4 V 0.0000 0.2460 0.2472
5 V 0.0000 0.2540 0.7472
6 V 0.0000 0.5000 0.9943
7 V 0.0000 0.7460 0.7472
8 V 0.0000 0.7540 0.2472
9 V 0.5000 0.0000 0.2487
10 V 0.5000 0.2466 0.9977
11 V 0.5000 0.2534 0.4977
12 V 0.5000 0.5000 0.7487
13 V 0.5000 0.7466 0.4977
14 V 0.5000 0.7534 0.9977
15 Ru 0.5000 0.0000 0.7476
16 Ru 0.5000 0.5000 0.2476

Largest 6 diffraction maxima, in order of falling intensity, 2θ = 10–90°:
| 2θ/deg | intensity |
| --- | --- |
| 43.17 | 100.0 |
| 43.32 | 19.8 |
| 79.16 | 17.4 |
| 62.82 | 11.9 |
| 79.37 | 11.5 |
| 62.56 | 6.0 |


# 8
Structure and computed PXRD pattern of MnV6Ru3 (DFT lattice parameters and positions (PBE); Cu Ka).

Unit cell a=6.1225 b=6.1225 c=6.1225 alpha=60.00 beta=60.00 gamma=60.00
Fractional positions:
1 Mn 0.0000 0.0000 0.0000
2 V 0.2419 0.2419 0.7581
3 V 0.2419 0.7581 0.2419
4 V 0.2419 0.7581 0.7581
5 V 0.7581 0.2419 0.2419
6 V 0.7581 0.2419 0.7581
7 V 0.7581 0.7581 0.2419
8 Ru 0.2500 0.2500 0.2500
9 Ru 0.5000 0.5000 0.5000
10 Ru 0.7500 0.7500 0.7500

Largest 6 diffraction maxima, in order of falling intensity, 2θ = 10–90°:
| 2θ/deg | intensity |
| --- | --- |
| 41.73 | 100.0 |
| 29.17 | 87.2 |
| 60.49 | 61.9 |
| 35.93 | 56.2 |
| 51.72 | 34.4 |
| 76.17 | 20.0 |


# 9
Structure and computed PXRD pattern of MnVRu3 (DFT lattice parameters and positions (PBE); Cu Ka).

Unit cell a=7.3143 b=7.3143 c=4.5666 alpha=90.00 beta=90.00 gamma=146.49
Fractional positions:
1 Mn 0.1351 0.8649 0.5000
2 Mn 0.8649 0.1351 0.0000
3 V 0.3529 0.6471 0.3706
4 V 0.6471 0.3529 0.8706
5 Ru 0.0524 0.9476 0.9970
6 Ru 0.2547 0.7453 0.8769
7 Ru 0.4458 0.5542 0.8551
8 Ru 0.5542 0.4458 0.3551
9 Ru 0.7453 0.2547 0.3769
10 Ru 0.9476 0.0524 0.4970

Largest 6 diffraction maxima, in order of falling intensity, 2θ = 10–90°:
| 2θ/deg | intensity |
| --- | --- |
| 43.55 | 100.0 |
| 42.90 | 30.6 |
| 45.65 | 24.1 |
| 39.47 | 18.9 |
| 29.53 | 16.8 |
| 79.05 | 15.4 |


# 10
Structure and computed PXRD pattern of MnRuW2 (DFT lattice parameters and positions (PBE); Cu Ka).

Unit cell a=3.8700 b=3.8700 c=7.8461 alpha=90.00 beta=90.00 gamma=90.00
Fractional positions:
1 Mn 0.0000 0.0000 0.0000
2 Mn 0.5000 0.5000 0.5000
3 Ru 0.0000 0.0000 0.5000
4 Ru 0.5000 0.5000 0.0000
5 W 0.0000 0.5000 0.2500
6 W 0.0000 0.5000 0.7500
7 W 0.5000 0.0000 0.2500
8 W 0.5000 0.0000 0.7500

Largest 6 diffraction maxima, in order of falling intensity, 2θ = 10–90°:
| 2θ/deg | intensity |
| --- | --- |
| 40.18 | 100.0 |
| 46.96 | 32.0 |
| 82.58 | 24.7 |
| 68.06 | 20.9 |
| 46.29 | 16.7 |
| 22.67 | 15.9 |


# 11
Structure and computed PXRD pattern of Mn8Ru3W (DFT lattice parameters and positions (PBE); Cu Ka).

Unit cell a=4.6728 b=4.6728 c=7.6230 alpha=90.00 beta=90.00 gamma=120.00
Fractional positions:
1 Mn 0.0000 0.0000 0.0000
2 Mn 0.0000 0.0000 0.4993
3 Mn 0.1746 0.3492 0.2535
4 Mn 0.1746 0.8254 0.2535
5 Mn 0.3487 0.1744 0.7496
6 Mn 0.6508 0.8254 0.2535
7 Mn 0.8256 0.1744 0.7496
8 Mn 0.8256 0.6513 0.7496
9 Ru 0.3333 0.6667 0.5689
10 Ru 0.3333 0.6667 0.9287
11 Ru 0.6667 0.3333 0.4297
12 W 0.6667 0.3333 0.0638

Largest 6 diffraction maxima, in order of falling intensity, 2θ = 10–90°:
| 2θ/deg | intensity |
| --- | --- |
| 41.98 | 100.0 |
| 45.54 | 87.4 |
| 46.43 | 60.2 |
| 38.53 | 58.3 |
| 72.07 | 34.0 |
| 74.65 | 23.5 |


# 12
Structure and computed PXRD pattern of Y2MnRu3 (DFT lattice parameters and positions (PBE); Cu Ka).

Unit cell a=5.2764 b=5.2764 c=5.2764 alpha=61.42 beta=61.42 gamma=61.42
Fractional positions:
1 Y 0.1245 0.1245 0.1245
2 Y 0.8755 0.8755 0.8755
3 Mn 0.5000 0.5000 0.5000
4 Ru 0.0000 0.5000 0.5000
5 Ru 0.5000 0.0000 0.5000
6 Ru 0.5000 0.5000 0.0000

Largest 6 diffraction maxima, in order of falling intensity, 2θ = 10–90°:
| 2θ/deg | intensity |
| --- | --- |
| 39.57 | 100.0 |
| 39.24 | 91.5 |
| 41.18 | 73.3 |
| 34.00 | 48.8 |
| 40.22 | 48.8 |
| 69.80 | 32.4 |